This entry pairs a crystal structure of ErTh2Co with its simulated powder XRD pattern. Radiation: Cu Kα. Structure: the GGA-PBE geometry in Alexandria.

Structural model:
a b c (Å): 6.9636 9.8672 6.1434
angles (deg): 90.00 90.00 90.00
Space group Pnma (No. 62)
Inequivalent atoms, fractional coordinates:
Er (0.0453, 0.2500, 0.1603) x4
Th (0.1763, 0.0676, 0.6697) x8
Co (0.1075, 0.7500, 0.3884) x4

Principal peaks in the range 2θ = 15–90°, sorted by position:
- hkl 0 3 1, 30.8 deg, rel. 100
- hkl 2 2 0, 31.4 deg, rel. 34
- hkl 1 0 2, 31.8 deg, rel. 35
- hkl 1 1 2, 33.1 deg, rel. 37
- hkl 1 3 1, 33.5 deg, rel. 30
- hkl 2 2 1, 34.8 deg, rel. 49
- hkl 1 3 3, 54.4 deg, rel. 27
- hkl 3 3 2, 57.1 deg, rel. 35